The following is a calculated powder X-ray diffraction pattern of Te4MoW2S2. It was derived from a PBE-relaxed structure, using Cu Kα (weighted mean of Kα1 and Kα2).
No peak broadening, texture or thermal motion is included.

The 12 most intense peaks (2θ = 10–90°), by angle:
| d [Å] | 2θ/deg | Rel. int. | h k l |
| --- | --- | --- | --- |
| 7.946 | 11.14 | 100.0 | 0 0 4 |
| 6.357 | 13.93 | 17.2 | 0 0 5 |
| 2.960 | 30.20 | 31.2 | 1 0 0 |
| 2.947 | 30.33 | 25.0 | 1 0 1 |
| 2.773 | 32.28 | 12.8 | 0 1 4 |
| 2.584 | 34.72 | 56.0 | 1 0 6 |
| 2.479 | 36.23 | 67.2 | 0 1 7 |
| 2.166 | 41.70 | 28.5 | 1 0 10 |
| 2.067 | 43.79 | 41.3 | 0 1 11 |
| 1.708 | 53.66 | 35.4 | 1 1 0 |
| 1.407 | 66.45 | 11.3 | 2 0 7 |
| 1.261 | 75.35 | 14.8 | 1 1 17 |

Structure:
Unit cell a=3.4175 b=3.4175 c=31.7835 alpha=90.00 beta=90.00 gamma=120.00
Space group P3m1 (No. 156)
Symmetry-distinct sites (fractional):
Te 0.0000 0.0000 0.0000
Te 0.0000 0.0000 0.1174
Te 0.6667 0.3333 0.2311
Te 0.6667 0.3333 0.3492
Mo 0.6667 0.3333 0.0586
W 0.0000 0.0000 0.2901
W 0.6667 0.3333 0.5214
S 0.0000 0.0000 0.4742
S 0.0000 0.0000 0.5686


The following is a calculated powder X-ray diffraction pattern of Te4MoW2S2. It was derived from a PBE-relaxed structure, using Cu Kα (weighted mean of Kα1 and Kα2).
No peak broadening, texture or thermal motion is included.

The 12 most intense peaks (2θ = 10–90°), by angle:
| d [Å] | 2θ/deg | Rel. int. | h k l |
| --- | --- | --- | --- |
| 7.918 | 11.17 | 100.0 | 0 0 4 |
| 6.335 | 13.98 | 18.2 | 0 0 5 |
| 2.962 | 30.17 | 41.4 | 1 0 0 |
| 2.949 | 30.31 | 11.5 | 1 0 1 |
| 2.774 | 32.27 | 13.0 | 0 1 4 |
| 2.583 | 34.73 | 52.4 | 1 0 6 |
| 2.478 | 36.25 | 61.4 | 0 1 7 |
| 2.266 | 39.78 | 16.6 | 0 1 9 |
| 2.163 | 41.75 | 21.1 | 1 0 10 |
| 2.065 | 43.85 | 41.3 | 0 1 11 |
| 1.710 | 53.61 | 30.2 | 1 1 0 |
| 1.260 | 75.46 | 14.3 | 1 1 17 |

Structure:
Unit cell a=3.4202 b=3.4202 c=31.6736 alpha=90.00 beta=90.00 gamma=120.00
Space group P3m1 (No. 156)
Symmetry-distinct sites (fractional):
Te 0.0000 0.0000 0.0000
Te 0.0000 0.0000 0.1177
Te 0.0000 0.0000 0.4623
Te 0.0000 0.0000 0.5806
Mo 0.6667 0.3333 0.0588
W 0.0000 0.0000 0.2901
W 0.6667 0.3333 0.5215
S 0.6667 0.3333 0.2428
S 0.6667 0.3333 0.3375


The following is a calculated powder X-ray diffraction pattern of TeMoWS3. It was derived from a PBE-relaxed structure, using Cu Kα (weighted mean of Kα1 and Kα2).
No peak broadening, texture or thermal motion is included.

The 12 most intense peaks (2θ = 10–90°), by angle:
| d [Å] | 2θ/deg | Rel. int. | h k l |
| --- | --- | --- | --- |
| 7.447 | 11.88 | 100.0 | 0 0 5 |
| 6.206 | 14.27 | 17.9 | 0 0 6 |
| 2.832 | 31.59 | 38.6 | 1 0 0 |
| 2.764 | 32.39 | 12.0 | 1 0 3 |
| 2.650 | 33.83 | 17.3 | 1 0 5 |
| 2.502 | 35.89 | 13.3 | 0 1 7 |
| 2.421 | 37.13 | 73.4 | 1 0 8 |
| 2.339 | 38.49 | 14.9 | 1 0 9 |
| 2.015 | 44.99 | 35.1 | 0 1 13 |
| 1.940 | 46.84 | 11.4 | 1 0 14 |
| 1.636 | 56.21 | 25.2 | 1 1 0 |
| 1.356 | 69.29 | 11.5 | 0 2 8 |

Structure:
Unit cell a=3.2737 b=3.2737 c=37.2345 alpha=90.00 beta=90.00 gamma=120.00
Space group P3m1 (No. 156)
Symmetry-distinct sites (fractional):
Te 0.0000 0.0000 0.0000
Te 0.0000 0.0000 0.1043
Mo 0.0000 0.0000 0.2401
Mo 0.0000 0.0000 0.8642
W 0.3333 0.6667 0.0521
W 0.3333 0.6667 0.4279
S 0.0000 0.0000 0.3863
S 0.0000 0.0000 0.4694
S 0.3333 0.6667 0.1987
S 0.3333 0.6667 0.2814
S 0.3333 0.6667 0.8229
S 0.3333 0.6667 0.9056


The following is a calculated powder X-ray diffraction pattern of Te4Mo3WS4. It was derived from a PBE-relaxed structure, using Cu Kα (weighted mean of Kα1 and Kα2).
No peak broadening, texture or thermal motion is included.

The 12 most intense peaks (2θ = 10–90°), by angle:
| d [Å] | 2θ/deg | Rel. int. | h k l |
| --- | --- | --- | --- |
| 7.951 | 11.13 | 100.0 | 0 0 5 |
| 6.625 | 13.36 | 20.8 | 0 0 6 |
| 2.903 | 30.80 | 50.6 | 1 0 0 |
| 2.729 | 32.81 | 12.4 | 1 0 5 |
| 2.587 | 34.68 | 13.1 | 1 0 7 |
| 2.508 | 35.80 | 77.1 | 0 1 8 |
| 2.428 | 37.03 | 15.9 | 0 1 9 |
| 2.106 | 42.94 | 49.1 | 1 0 13 |
| 2.031 | 44.62 | 15.4 | 0 1 14 |
| 1.677 | 54.72 | 30.4 | 1 1 0 |
| 1.641 | 56.03 | 14.1 | 1 1 5 |
| 1.256 | 75.76 | 14.3 | 1 1 21 |

Structure:
Unit cell a=3.3554 b=3.3554 c=39.7530 alpha=90.00 beta=90.00 gamma=120.00
Space group P3m1 (No. 156)
Symmetry-distinct sites (fractional):
Te 0.0000 0.0000 0.0000
Te 0.0000 0.0000 0.0951
Te 0.3333 0.6667 0.8090
Te 0.3333 0.6667 0.9041
Mo 0.0000 0.0000 0.4823
Mo 0.0000 0.0000 0.8565
Mo 0.3333 0.6667 0.0476
W 0.3333 0.6667 0.6698
S 0.0000 0.0000 0.6316
S 0.0000 0.0000 0.7081
S 0.3333 0.6667 0.4443
S 0.3333 0.6667 0.5204


The following is a calculated powder X-ray diffraction pattern of Te4Mo2WS2. It was derived from a PBE-relaxed structure, using Cu Kα (weighted mean of Kα1 and Kα2).
No peak broadening, texture or thermal motion is included.

The 12 most intense peaks (2θ = 10–90°), by angle:
| d [Å] | 2θ/deg | Rel. int. | h k l |
| --- | --- | --- | --- |
| 7.936 | 11.15 | 100.0 | 0 0 4 |
| 6.349 | 13.95 | 13.7 | 0 0 5 |
| 2.959 | 30.20 | 38.6 | 1 0 0 |
| 2.947 | 30.33 | 32.9 | 1 0 1 |
| 2.773 | 32.29 | 15.9 | 0 1 4 |
| 2.583 | 34.73 | 61.4 | 1 0 6 |
| 2.478 | 36.25 | 76.3 | 0 1 7 |
| 2.165 | 41.73 | 30.7 | 1 0 10 |
| 2.066 | 43.82 | 47.0 | 0 1 11 |
| 1.708 | 53.67 | 39.2 | 1 1 0 |
| 1.407 | 66.47 | 12.7 | 2 0 7 |
| 1.261 | 75.41 | 17.0 | 1 1 17 |

Structure:
Unit cell a=3.4171 b=3.4171 c=31.7443 alpha=90.00 beta=90.00 gamma=120.00
Space group P3m1 (No. 156)
Symmetry-distinct sites (fractional):
Te 0.0000 0.0000 0.0000
Te 0.0000 0.0000 0.1176
Te 0.3333 0.6667 0.7685
Te 0.3333 0.6667 0.8861
Mo 0.0000 0.0000 0.8273
Mo 0.3333 0.6667 0.0587
W 0.0000 0.0000 0.2900
S 0.3333 0.6667 0.2427
S 0.3333 0.6667 0.3374


The following is a calculated powder X-ray diffraction pattern of Te6MoW3S2. It was derived from a PBE-relaxed structure, using Cu Kα (weighted mean of Kα1 and Kα2).
No peak broadening, texture or thermal motion is included.

The 12 most intense peaks (2θ = 10–90°), by angle:
| d [Å] | 2θ/deg | Rel. int. | h k l |
| --- | --- | --- | --- |
| 7.885 | 11.22 | 100.0 | 0 0 5 |
| 6.571 | 13.48 | 17.8 | 0 0 6 |
| 2.987 | 29.91 | 51.0 | 1 0 0 |
| 2.640 | 33.95 | 14.0 | 0 1 7 |
| 2.556 | 35.11 | 95.6 | 1 0 8 |
| 2.468 | 36.40 | 23.2 | 0 0 16 |
| 2.129 | 42.46 | 54.7 | 0 1 13 |
| 2.050 | 44.19 | 18.7 | 1 0 14 |
| 1.725 | 53.08 | 37.5 | 1 1 0 |
| 1.430 | 65.23 | 15.7 | 0 2 8 |
| 1.271 | 74.71 | 17.2 | 1 1 21 |
| 1.101 | 88.86 | 14.1 | 2 1 8 |

Structure:
Unit cell a=3.4517 b=3.4517 c=39.4240 alpha=90.00 beta=90.00 gamma=120.00
Space group P3m1 (No. 156)
Symmetry-distinct sites (fractional):
Te 0.0000 0.0000 0.0000
Te 0.0000 0.0000 0.0940
Te 0.0000 0.0000 0.3756
Te 0.0000 0.0000 0.4700
Te 0.6667 0.3333 0.1877
Te 0.6667 0.3333 0.2821
Mo 0.6667 0.3333 0.0470
W 0.0000 0.0000 0.2349
W 0.0000 0.0000 0.6106
W 0.6667 0.3333 0.4228
S 0.6667 0.3333 0.5727
S 0.6667 0.3333 0.6485